1.
Theoretical powder X-ray diffraction pattern of Ac2La5SmDy for Cu Kα (weighted mean of Kα1 and Kα2), from a cell relaxed with GGA-PBE.
Peak positions follow from Bragg's law for the DFT cell and can differ from measured ones.

Crystal structure
abc: 5.6862 22.7346 10.6400
angles: 90.00 90.00 90.00
Space group Cmcm (No. 63)
Inequivalent atoms, fractional coordinates:
Ac (0.0000, 0.1152, 0.0135) (multiplicity 8)
La (0.0000, 0.0044, 0.7500) (multiplicity 4)
La (0.0000, 0.2775, 0.0607) (multiplicity 8)
La (0.0000, 0.3771, 0.7500) (multiplicity 4)
La (0.0000, 0.5000, 0.0000) (multiplicity 4)
Sm (0.0000, 0.2146, 0.7500) (multiplicity 4)
Dy (0.0000, 0.3971, 0.2500) (multiplicity 4)

Principal peaks in the range 2θ from 15° to 90°, sorted by position:
(1 3 2), 2θ 25.8, I 24; (1 1 3), 2θ 30.0, I 15; (1 5 2), 2θ 30.3, I 100; (2 0 0), 2θ 31.5, I 44; (0 0 4), 2θ 33.7, I 17; (0 10 0), 2θ 39.6, I 6; (2 8 0), 2θ 45.1, I 9; (2 0 4), 2θ 46.8, I 21; (3 5 2), 2θ 55.3, I 19; (2 8 4), 2θ 57.5, I 8; (1 13 2), 2θ 57.8, I 13; (1 5 6), 2θ 58.1, I 9



2.
Theoretical powder X-ray diffraction pattern of CdAgCl for Cu Kα (weighted mean of Kα1 and Kα2), from a cell relaxed with GGA-PBE.
Peak positions follow from Bragg's law for the DFT cell and can differ from measured ones.

Crystal structure
abc: 3.6159 3.6159 5.9240
angles: 90.00 90.00 120.00
Space group P3m1 (No. 156)
Inequivalent atoms, fractional coordinates:
Cd (0.0000, 0.0000, 0.0000) (multiplicity 1)
Ag (0.3333, 0.6667, 0.6774) (multiplicity 1)
Cl (0.6667, 0.3333, 0.3370) (multiplicity 1)

Principal peaks in the range 2θ from 15° to 90°, sorted by position:
(1 0 0), 2θ 28.5, I 11; (1 0 1), 2θ 32.3, I 100; (0 1 2), 2θ 42.0, I 49; (0 0 3), 2θ 46.0, I 11; (1 1 0), 2θ 50.5, I 25; (0 2 1), 2θ 61.2, I 15; (2 0 2), 2θ 67.7, I 11; (1 0 4), 2θ 70.3, I 9; (1 1 3), 2θ 70.6, I 17; (2 1 1), 2θ 83.2, I 12; (0 1 5), 2θ 88.2, I 6; (1 2 2), 2θ 89.1, I 11